No. 1
Mg2Cd2InAg2: simulated powder XRD pattern (Cu Ka), based on a crystal structure in Alexandria, relaxed with GGA-PBE.
Peak positions follow from Bragg's law for the DFT cell and can differ from measured ones.

Cell and atoms:
```
data_Mg2Cd2InAg2
_cell_length_a 7.7656
_cell_length_b 7.7656
_cell_length_c 7.0767
_cell_angle_alpha 117.06
_cell_angle_beta 117.06
_cell_angle_gamma 23.98
_space_group_name_H-M_alt 'P 1'
_space_group_IT_number 1
loop_
_space_group_symop_operation_xyz
'x,y,z'
loop_
_atom_site_label
_atom_site_fract_x
_atom_site_fract_y
_atom_site_fract_z
Mg1 0.0717 0.0717 0.4142
Mg2 0.9283 0.9283 0.5858
Cd1 0.2826 0.2826 0.7106
Cd2 0.7174 0.7174 0.2894
In1 0.5000 0.5000 0.0000
Ag1 0.1436 0.1436 0.8760
Ag2 0.8564 0.8564 0.1240
```

Most intense lines, 5 to 70 degrees two-theta, by angle:
- 2θ = 14.14°, rel. 74
- 2θ = 30.45°, rel. 100
- 2θ = 33.30°, rel. 60
- 2θ = 35.72°, rel. 88
- 2θ = 36.87°, rel. 89
- 2θ = 38.35°, rel. 86
- 2θ = 38.76°, rel. 73
- 2θ = 40.80°, rel. 62

No. 2
Ac3TmPb2: simulated powder XRD pattern (Cu Ka), based on a crystal structure in Alexandria, relaxed with GGA-PBE.
Peak positions follow from Bragg's law for the DFT cell and can differ from measured ones.

Cell and atoms:
```
data_Ac3TmPb2
_cell_length_a 8.9259
_cell_length_b 8.9259
_cell_length_c 8.9259
_cell_angle_alpha 59.63
_cell_angle_beta 59.63
_cell_angle_gamma 59.63
_space_group_name_H-M_alt 'P 1'
_space_group_IT_number 1
loop_
_space_group_symop_operation_xyz
'x,y,z'
loop_
_atom_site_label
_atom_site_fract_x
_atom_site_fract_y
_atom_site_fract_z
Ac1 0.0373 0.7500 0.4627
Ac2 0.2500 0.5373 0.9627
Ac3 0.4627 0.0373 0.7500
Ac4 0.5373 0.9627 0.2500
Ac5 0.7500 0.4627 0.0373
Ac6 0.9627 0.2500 0.5373
Tm1 0.0000 0.0000 0.0000
Tm2 0.5000 0.5000 0.5000
Pb1 0.1444 0.1444 0.1444
Pb2 0.3556 0.3556 0.3556
Pb3 0.6444 0.6444 0.6444
Pb4 0.8556 0.8556 0.8556
```

Most intense lines, 5 to 70 degrees two-theta, by angle:
- 2θ = 20.01°, rel. 20
- 2θ = 23.45°, rel. 100
- 2θ = 31.72°, rel. 93
- 2θ = 34.75°, rel. 18
- 2θ = 35.01°, rel. 89
- 2θ = 42.32°, rel. 22
- 2θ = 47.96°, rel. 27
- 2θ = 60.76°, rel. 18